No. 1
Structure and simulated powder X-ray diffraction pattern of CePaTe2O (a DFT-relaxed cell (GGA-PBE, Alexandria); Cu Kα (weighted mean of Kα1 and Kα2)).
Neutral-atom scattering factors, no anomalous dispersion.

Peak list (8 most intense, 2θ from 10° to 90°, low angle first)
d = 3.662 Å, 24.3 deg, I = 17; d = 2.947 Å, 30.3 deg, I = 100; d = 2.751 Å, 32.6 deg, I = 93; d = 2.296 Å, 39.2 deg, I = 24; d = 2.083 Å, 43.4 deg, I = 42; d = 2.077 Å, 43.6 deg, I = 17; d = 1.661 Å, 55.3 deg, I = 42; d = 1.317 Å, 71.6 deg, I = 22

Crystal structure
```
CePaTe2O
1.0
4.1670 0.0000 0.0000
0.0000 4.1670 0.0000
0.0000 0.0000 14.6477
Ce Pa Te O
2 2 4 2
direct
0.2500 0.2500 0.0789
0.7500 0.7500 0.9211
0.2500 0.2500 0.5871
0.7500 0.7500 0.4129
0.2500 0.2500 0.3704
0.2500 0.2500 0.8022
0.7500 0.7500 0.1978
0.7500 0.7500 0.6296
0.2500 0.7500 0.0000
0.7500 0.2500 0.0000
```

No. 2
Structure and simulated powder X-ray diffraction pattern of Cr2PtRh3 (a DFT-relaxed cell (GGA-PBE, Alexandria); Cu Kα (weighted mean of Kα1 and Kα2)).
Neutral-atom scattering factors, no anomalous dispersion.

Peak list (8 most intense, 2θ from 10° to 90°, low angle first)
d = 4.052 Å, 21.9 deg, I = 12; d = 3.308 Å, 27.0 deg, I = 9; d = 2.865 Å, 31.2 deg, I = 57; d = 2.026 Å, 44.7 deg, I = 100; d = 1.654 Å, 55.6 deg, I = 15; d = 1.433 Å, 65.1 deg, I = 16; d = 1.281 Å, 74.0 deg, I = 20; d = 1.170 Å, 82.5 deg, I = 32

Crystal structure
```
Cr2PtRh3
1.0
5.7300 0.0000 0.0000
0.0000 5.7300 0.0000
0.0000 0.0000 5.7300
Cr Pt Rh
4 2 6
direct
0.0000 0.0000 0.0000
0.0000 0.5000 0.5000
0.5000 0.0000 0.5000
0.5000 0.5000 0.0000
0.2500 0.2500 0.2500
0.7500 0.7500 0.7500
0.2500 0.2500 0.7500
0.2500 0.7500 0.2500
0.2500 0.7500 0.7500
0.7500 0.2500 0.2500
0.7500 0.2500 0.7500
0.7500 0.7500 0.2500
```

No. 3
Structure and simulated powder X-ray diffraction pattern of Nd2MgNi3Ge4 (a DFT-relaxed cell (GGA-PBE, Alexandria); Cu Kα (weighted mean of Kα1 and Kα2)).
Neutral-atom scattering factors, no anomalous dispersion.

Peak list (8 most intense, 2θ from 10° to 90°, low angle first)
d = 2.958 Å, 30.2 deg, I = 24; d = 2.646 Å, 33.9 deg, I = 60; d = 2.562 Å, 35.0 deg, I = 100; d = 2.092 Å, 43.3 deg, I = 54; d = 1.840 Å, 49.5 deg, I = 27; d = 1.641 Å, 56.0 deg, I = 28; d = 1.479 Å, 62.8 deg, I = 26; d = 1.281 Å, 74.0 deg, I = 26

Crystal structure
```
Nd2MgNi3Ge4
1.0
4.1837 0.0000 0.0000
0.0000 4.1837 0.0000
0.0000 0.0000 10.2462
Nd Mg Ni Ge
2 1 3 4
direct
0.0000 0.5000 0.2368
0.5000 0.0000 0.7632
0.0000 0.0000 0.5000
0.0000 0.5000 0.8847
0.5000 0.0000 0.1153
0.5000 0.5000 0.5000
0.0000 0.0000 0.0000
0.0000 0.5000 0.6524
0.5000 0.0000 0.3476
0.5000 0.5000 0.0000
```

No. 4
Structure and simulated powder X-ray diffraction pattern of Th4Al12Os (a DFT-relaxed cell (GGA-PBE, Alexandria); Cu Kα (weighted mean of Kα1 and Kα2)).
Neutral-atom scattering factors, no anomalous dispersion.

Peak list (8 most intense, 2θ from 10° to 90°, low angle first)
d = 4.430 Å, 20.0 deg, I = 41; d = 3.132 Å, 28.5 deg, I = 100; d = 2.558 Å, 35.1 deg, I = 42; d = 2.215 Å, 40.7 deg, I = 38; d = 1.981 Å, 45.8 deg, I = 22; d = 1.808 Å, 50.5 deg, I = 41; d = 1.566 Å, 59.0 deg, I = 25; d = 1.184 Å, 81.3 deg, I = 23

Crystal structure
```
Th4Al12Os
1.0
-4.4298 4.4298 4.4298
4.4298 -4.4298 4.4298
4.4298 4.4298 -4.4298
Th Al Os
4 12 1
direct
0.0000 0.0000 0.5000
0.0000 0.5000 0.0000
0.5000 0.0000 0.0000
0.5000 0.5000 0.5000
0.0000 0.2891 0.2891
0.0000 0.7109 0.7109
0.2500 0.5000 0.7500
0.2500 0.7500 0.5000
0.2891 0.0000 0.2891
0.2891 0.2891 0.0000
0.5000 0.2500 0.7500
0.5000 0.7500 0.2500
0.7109 0.0000 0.7109
0.7109 0.7109 0.0000
0.7500 0.2500 0.5000
0.7500 0.5000 0.2500
0.0000 0.0000 0.0000
```

No. 5
Structure and simulated powder X-ray diffraction pattern of Sr2Ag4SnBi3 (a DFT-relaxed cell (GGA-PBE, Alexandria); Cu Kα (weighted mean of Kα1 and Kα2)).
Neutral-atom scattering factors, no anomalous dispersion.

Peak list (8 most intense, 2θ from 10° to 90°, low angle first)
d = 4.433 Å, 20.0 deg, I = 40; d = 3.147 Å, 28.4 deg, I = 43; d = 2.958 Å, 30.2 deg, I = 100; d = 2.367 Å, 38.0 deg, I = 73; d = 2.298 Å, 39.2 deg, I = 69; d = 2.230 Å, 40.5 deg, I = 39; d = 1.623 Å, 56.7 deg, I = 29; d = 1.353 Å, 69.5 deg, I = 26

Crystal structure
```
Sr2Ag4SnBi3
1.0
4.7334 0.0000 0.0000
0.0000 4.7334 0.0000
0.0000 0.0000 12.6397
Sr Ag Sn Bi
2 4 1 3
direct
0.0000 0.5000 0.2404
0.5000 0.0000 0.7596
0.0000 0.0000 0.0000
0.0000 0.5000 0.6402
0.5000 0.0000 0.3598
0.5000 0.5000 0.0000
0.0000 0.0000 0.5000
0.0000 0.5000 0.8627
0.5000 0.0000 0.1373
0.5000 0.5000 0.5000
```

No. 6
Structure and simulated powder X-ray diffraction pattern of Th7Re2Bi2 (a DFT-relaxed cell (GGA-PBE, Alexandria); Cu Kα (weighted mean of Kα1 and Kα2)).
Neutral-atom scattering factors, no anomalous dispersion.

Peak list (8 most intense, 2θ from 10° to 90°, low angle first)
d = 3.083 Å, 29.0 deg, I = 42; d = 2.809 Å, 31.9 deg, I = 60; d = 2.791 Å, 32.1 deg, I = 100; d = 2.764 Å, 32.4 deg, I = 21; d = 2.729 Å, 32.8 deg, I = 59; d = 2.437 Å, 36.9 deg, I = 24; d = 2.045 Å, 44.3 deg, I = 31; d = 1.653 Å, 55.6 deg, I = 26

Crystal structure
```
Th7Re2Bi2
1.0
-2.0448 8.2924 4.8917
2.0448 -8.2924 4.8917
2.0448 8.2924 -4.8917
Th Re Bi
7 2 2
direct
0.0000 0.0000 0.0000
0.2825 0.4193 0.8632
0.3054 0.6247 0.6808
0.5561 0.4193 0.1368
0.6092 0.2606 0.3486
0.9120 0.2606 0.6514
0.9439 0.6247 0.3192
0.1649 0.9310 0.2339
0.6970 0.9310 0.7661
0.2728 0.7728 0.5000
0.6649 0.6649 0.0000
```

No. 7
Structure and simulated powder X-ray diffraction pattern of Sc3TaO7 (a DFT-relaxed cell (GGA-PBE, Alexandria); Cu Kα (weighted mean of Kα1 and Kα2)).
Neutral-atom scattering factors, no anomalous dispersion.

Peak list (8 most intense, 2θ from 10° to 90°, low angle first)
d = 6.873 Å, 12.9 deg, I = 82; d = 5.108 Å, 17.4 deg, I = 43; d = 4.100 Å, 21.7 deg, I = 47; d = 2.934 Å, 30.5 deg, I = 100; d = 2.851 Å, 31.4 deg, I = 97; d = 2.481 Å, 36.2 deg, I = 30; d = 1.780 Å, 51.3 deg, I = 73; d = 1.517 Å, 61.1 deg, I = 27

Crystal structure
```
Sc3TaO7
1.0
3.5848 -6.8731 0.0000
3.5848 6.8731 0.0000
0.0000 0.0000 5.1081
Sc Ta O
6 2 14
direct
0.0000 0.5000 0.5000
0.1261 0.8739 0.9732
0.3739 0.6261 0.9732
0.5000 0.0000 0.5000
0.6261 0.3739 0.0268
0.8739 0.1261 0.0268
0.2500 0.2500 0.5000
0.7500 0.7500 0.5000
0.0223 0.9777 0.7173
0.0764 0.3299 0.7395
0.1701 0.4236 0.2605
0.2500 0.7500 0.7398
0.3299 0.0764 0.2605
0.4236 0.1701 0.7395
0.4777 0.5223 0.7173
0.5223 0.4777 0.2827
0.5764 0.8299 0.2605
0.6701 0.9236 0.7395
0.7500 0.2500 0.2602
0.8299 0.5764 0.7395
0.9236 0.6701 0.2605
0.9777 0.0223 0.2827
```

No. 8
Structure and simulated powder X-ray diffraction pattern of Ac4PrNd2 (a DFT-relaxed cell (GGA-PBE, Alexandria); Cu Kα (weighted mean of Kα1 and Kα2)).
Neutral-atom scattering factors, no anomalous dispersion.

Peak list (8 most intense, 2θ from 10° to 90°, low angle first)
d = 3.697 Å, 24.1 deg, I = 27; d = 3.179 Å, 28.1 deg, I = 100; d = 3.161 Å, 28.2 deg, I = 91; d = 3.109 Å, 28.7 deg, I = 73; d = 2.852 Å, 31.4 deg, I = 51; d = 2.836 Å, 31.5 deg, I = 23; d = 1.806 Å, 50.5 deg, I = 35; d = 1.772 Å, 51.6 deg, I = 27

Crystal structure
```
Ac4PrNd2
1.0
-3.6712 6.2176 6.4184
3.6712 -6.2176 6.4184
3.6712 6.2176 -6.4184
Ac Pr Nd
8 2 4
direct
0.1589 0.1527 0.0061
0.2379 0.2202 0.4823
0.2379 0.7556 0.0177
0.3534 0.8473 0.5061
0.6466 0.1527 0.4939
0.7621 0.2444 0.9823
0.7621 0.7798 0.5177
0.8411 0.8473 0.9939
0.5000 0.0000 0.0000
0.5000 0.5000 0.5000
0.0000 0.5000 0.5000
0.0249 0.2749 0.7500
0.5000 0.5000 0.0000
0.9751 0.7251 0.2500
```

No. 9
Structure and simulated powder X-ray diffraction pattern of La5Sm2Er2 (a DFT-relaxed cell (GGA-PBE, Alexandria); Cu Kα (weighted mean of Kα1 and Kα2)).
Neutral-atom scattering factors, no anomalous dispersion.

Peak list (8 most intense, 2θ from 10° to 90°, low angle first)
d = 3.003 Å, 29.7 deg, I = 100; d = 2.984 Å, 29.9 deg, I = 98; d = 2.605 Å, 34.4 deg, I = 34; d = 2.587 Å, 34.7 deg, I = 66; d = 1.836 Å, 49.7 deg, I = 60; d = 1.567 Å, 58.9 deg, I = 22; d = 1.564 Å, 59.0 deg, I = 21; d = 1.557 Å, 59.4 deg, I = 28

Crystal structure
```
La5Sm2Er2
1.0
3.6752 0.0000 0.0000
0.0052 5.2101 0.0000
1.8270 2.6003 16.3838
La Sm Er
5 2 2
direct
0.0000 0.0000 0.0000
0.2221 0.2216 0.5565
0.4430 0.4433 0.1134
0.5570 0.5567 0.8866
0.7779 0.7784 0.4435
0.3338 0.3347 0.3304
0.6662 0.6653 0.6696
0.1130 0.1124 0.7754
0.8870 0.8876 0.2246
```

No. 10
Structure and simulated powder X-ray diffraction pattern of Pr3Cu11 (a DFT-relaxed cell (GGA-PBE, Alexandria); Cu Kα (weighted mean of Kα1 and Kα2)).
Neutral-atom scattering factors, no anomalous dispersion.

Peak list (8 most intense, 2θ from 10° to 90°, low angle first)
d = 2.972 Å, 30.1 deg, I = 33; d = 2.559 Å, 35.1 deg, I = 22; d = 2.474 Å, 36.3 deg, I = 100; d = 2.437 Å, 36.9 deg, I = 49; d = 2.421 Å, 37.1 deg, I = 49; d = 2.270 Å, 39.7 deg, I = 25; d = 2.153 Å, 42.0 deg, I = 29; d = 2.122 Å, 42.6 deg, I = 50

Crystal structure
```
Pr3Cu11
1.0
-2.1218 4.4650 6.2460
2.1218 -4.4650 6.2460
2.1218 4.4650 -6.2460
Pr Cu
3 11
direct
0.0000 0.0000 0.0000
0.3058 0.3058 0.0000
0.6942 0.6942 0.0000
0.0266 0.6740 0.3527
0.1616 0.8806 0.2810
0.2890 0.5000 0.7890
0.3213 0.6740 0.6473
0.4004 0.1194 0.2810
0.5000 0.0000 0.5000
0.5996 0.8806 0.7190
0.6787 0.3260 0.3527
0.7110 0.5000 0.2110
0.8384 0.1194 0.7190
0.9734 0.3260 0.6473
```

No. 11
Structure and simulated powder X-ray diffraction pattern of La8Tb3Th (a DFT-relaxed cell (GGA-PBE, Alexandria); Cu Kα (weighted mean of Kα1 and Kα2)).
Neutral-atom scattering factors, no anomalous dispersion.

Peak list (8 most intense, 2θ from 10° to 90°, low angle first)
d = 5.661 Å, 15.7 deg, I = 25; d = 2.997 Å, 29.8 deg, I = 34; d = 2.895 Å, 30.9 deg, I = 100; d = 2.857 Å, 31.3 deg, I = 28; d = 2.831 Å, 31.6 deg, I = 37; d = 2.649 Å, 33.8 deg, I = 39; d = 2.596 Å, 34.5 deg, I = 30; d = 2.560 Å, 35.1 deg, I = 41

Crystal structure
```
La8Tb3Th
1.0
-3.2500 5.7612 5.9935
3.2500 -5.7612 5.9935
3.2500 5.7612 -5.9935
La Tb Th
8 3 1
direct
0.0946 0.2355 0.8277
0.2079 0.2304 0.4995
0.2691 0.7696 0.9775
0.4078 0.2669 0.1723
0.5922 0.7645 0.8591
0.7309 0.7083 0.5005
0.7921 0.2917 0.0225
0.9054 0.7331 0.1409
0.0000 0.0000 0.0000
0.3167 0.8167 0.5000
0.6833 0.1833 0.5000
0.5000 0.5000 0.0000
```

No. 12
Structure and simulated powder X-ray diffraction pattern of Zn2Cu12Au (a DFT-relaxed cell (GGA-PBE, Alexandria); Cu Kα (weighted mean of Kα1 and Kα2)).
Neutral-atom scattering factors, no anomalous dispersion.

Peak list (8 most intense, 2θ from 10° to 90°, low angle first)
d = 3.196 Å, 27.9 deg, I = 68; d = 2.724 Å, 32.9 deg, I = 56; d = 2.243 Å, 40.2 deg, I = 93; d = 2.130 Å, 42.4 deg, I = 81; d = 2.058 Å, 44.0 deg, I = 100; d = 2.006 Å, 45.2 deg, I = 72; d = 1.884 Å, 48.3 deg, I = 48; d = 1.709 Å, 53.6 deg, I = 65

Crystal structure
```
Zn2Cu12Au
1.0
4.8338 0.0000 0.0000
0.0000 4.8338 0.0000
0.0000 0.0000 18.0413
Zn Cu Au
4 24 2
direct
0.2500 0.7500 0.2196
0.2500 0.7500 0.7804
0.7500 0.2500 0.2196
0.7500 0.2500 0.7804
0.9999 0.0001 0.3870
0.0001 0.9999 0.6130
0.0001 0.5001 0.3870
0.9999 0.4999 0.6130
0.0738 0.5738 0.0608
0.0738 0.9262 0.9392
0.2500 0.2500 0.1567
0.2500 0.2500 0.2867
0.2500 0.2500 0.7133
0.2500 0.2500 0.8433
0.4262 0.5738 0.9392
0.4262 0.9262 0.0608
0.4999 0.9999 0.3870
0.5001 0.0001 0.6130
0.5001 0.4999 0.3870
0.4999 0.5001 0.6130
0.5738 0.0738 0.9392
0.5738 0.4262 0.0608
0.7500 0.7500 0.1567
0.7500 0.7500 0.2867
0.7500 0.7500 0.7133
0.7500 0.7500 0.8433
0.9262 0.0738 0.0608
0.9262 0.4262 0.9392
0.2500 0.7500 0.5000
0.7500 0.2500 0.5000
```